Theoretical X-ray powder pattern
Compound: Li3Ce2Pb4
Radiation: Cu Kα
Structure: the PBE geometry in Alexandria

Atomic structure:
Cell: 8.8261 8.8261 8.3260 Å, 90.00 90.00 136.14°
Element x y z (fractional)
Li (0.0000, 0.0000, 0.0000)
Li (0.0273, 0.4727, 0.2500)
Li (0.4727, 0.0273, 0.7500)
Li (0.5000, 0.5000, 0.5000)
Li (0.5273, 0.9727, 0.2500)
Li (0.9727, 0.5273, 0.7500)
Ce (0.1109, 0.8891, 0.4127)
Ce (0.3891, 0.6109, 0.9127)
Ce (0.6109, 0.3891, 0.0873)
Ce (0.8891, 0.1109, 0.5873)
Pb (0.1790, 0.8210, 0.0307)
Pb (0.2007, 0.2993, 0.2500)
Pb (0.2993, 0.2007, 0.7500)
Pb (0.3210, 0.6790, 0.5307)
Pb (0.6790, 0.3210, 0.4693)
Pb (0.7007, 0.7993, 0.2500)
Pb (0.7993, 0.7007, 0.7500)
Pb (0.8210, 0.1790, 0.9693)

Principal peaks in the range 2θ from 15° to 90°, low angle first:
two_theta	I (rel.)
23.98	825
29.21	496
31.16	606
32.36	827
34.11	572
34.71	1000

=====

Theoretical X-ray powder pattern
Compound: LiCe2Pb6
Radiation: Cu Kα
Structure: the PBE geometry in Alexandria

Atomic structure:
Cell: 7.2342 4.9006 8.4555 Å, 90.00 115.25 90.00°
Element x y z (fractional)
Li (0.0000, 0.0000, 0.0000)
Ce (0.2268, 0.5000, 0.4529)
Ce (0.7732, 0.5000, 0.5471)
Pb (0.1316, 0.0000, 0.7049)
Pb (0.2718, 0.5000, 0.9997)
Pb (0.4280, 0.0000, 0.2948)
Pb (0.5720, 0.0000, 0.7052)
Pb (0.7282, 0.5000, 0.0003)
Pb (0.8684, 0.0000, 0.2951)

Principal peaks in the range 2θ from 15° to 90°, low angle first:
two_theta	I (rel.)
24.61	336
29.63	1000
32.93	668
36.68	373
38.89	369
43.43	264

=====

Theoretical X-ray powder pattern
Compound: Li5CePb6
Radiation: Cu Kα
Structure: the PBE geometry in Alexandria

Atomic structure:
Cell: 9.0567 9.0567 9.0567 Å, 147.38 132.86 58.51°
Element x y z (fractional)
Li (0.0000, 0.0000, 0.0000)
Li (0.1703, 0.6703, 0.5000)
Li (0.3333, 0.3333, 0.0000)
Li (0.6667, 0.6667, 0.0000)
Li (0.8297, 0.3297, 0.5000)
Ce (0.5000, 0.0000, 0.5000)
Pb (0.0631, 0.8262, 0.2369)
Pb (0.2224, 0.5000, 0.7224)
Pb (0.4107, 0.1738, 0.2369)
Pb (0.5893, 0.8262, 0.7631)
Pb (0.7776, 0.5000, 0.2776)
Pb (0.9369, 0.1738, 0.7631)

Principal peaks in the range 2θ from 15° to 90°, low angle first:
two_theta	I (rel.)
24.32	747
24.58	345
34.04	271
34.85	1000
35.28	258
63.04	266

=====

Theoretical X-ray powder pattern
Compound: LiCePb
Radiation: Cu Kα
Structure: the PBE geometry in Alexandria

Atomic structure:
Cell: 4.5930 4.5930 7.4798 Å, 90.00 90.00 90.00°
Element x y z (fractional)
Li (0.2500, 0.7500, 0.0000)
Li (0.7500, 0.2500, 0.0000)
Ce (0.2500, 0.2500, 0.3287)
Ce (0.7500, 0.7500, 0.6713)
Pb (0.2500, 0.2500, 0.7691)
Pb (0.7500, 0.7500, 0.2309)

Principal peaks in the range 2θ from 15° to 90°, low angle first:
two_theta	I (rel.)
23.79	450
27.46	1000
30.83	355
36.65	649
39.23	417
46.40	313

=====

Theoretical X-ray powder pattern
Compound: Li2Ce3Pb6
Radiation: Cu Kα
Structure: the PBE geometry in Alexandria

Atomic structure:
Cell: 13.2527 13.2527 13.2527 Å, 158.65 158.65 30.37°
Element x y z (fractional)
Li (0.0461, 0.0461, 0.0000)
Li (0.9539, 0.9539, 0.0000)
Ce (0.3151, 0.3151, 0.0000)
Ce (0.5000, 0.5000, 0.0000)
Ce (0.6849, 0.6849, 0.0000)
Pb (0.0948, 0.5948, 0.5000)
Pb (0.1906, 0.1906, 0.0000)
Pb (0.4052, 0.9052, 0.5000)
Pb (0.5948, 0.0948, 0.5000)
Pb (0.8094, 0.8094, 0.0000)
Pb (0.9052, 0.4052, 0.5000)

Principal peaks in the range 2θ from 15° to 90°, low angle first:
two_theta	I (rel.)
26.61	403
29.28	432
33.28	1000
36.61	590
51.61	323
63.81	315

=====

Theoretical X-ray powder pattern
Compound: Li2Ce5Pb5
Radiation: Cu Kα
Structure: the PBE geometry in Alexandria

Atomic structure:
Cell: 6.6951 6.6951 12.8424 Å, 115.26 115.26 41.60°
Element x y z (fractional)
Li (0.0394, 0.0394, 0.2823)
Li (0.9606, 0.9606, 0.7177)
Ce (0.3216, 0.3216, 0.4621)
Ce (0.3280, 0.3280, 0.2451)
Ce (0.5000, 0.5000, 0.0000)
Ce (0.6720, 0.6720, 0.7549)
Ce (0.6784, 0.6784, 0.5379)
Pb (0.0000, 0.0000, 0.5000)
Pb (0.1561, 0.1561, 0.9423)
Pb (0.3470, 0.3470, 0.7230)
Pb (0.6530, 0.6530, 0.2770)
Pb (0.8439, 0.8439, 0.0577)

Principal peaks in the range 2θ from 15° to 90°, low angle first:
two_theta	I (rel.)
27.83	302
28.63	1000
28.84	246
31.31	320
34.27	718
37.84	539

=====

Theoretical X-ray powder pattern
Compound: LiCe2Pb3
Radiation: Cu Kα
Structure: the PBE geometry in Alexandria

Atomic structure:
Cell: 7.8853 7.8853 9.0577 Å, 90.00 90.00 143.63°
Element x y z (fractional)
Li (0.1767, 0.8233, 0.0000)
Li (0.8233, 0.1767, 0.0000)
Ce (0.1715, 0.8285, 0.5000)
Ce (0.5000, 0.5000, 0.0000)
Ce (0.5000, 0.5000, 0.5000)
Ce (0.8285, 0.1715, 0.5000)
Pb (0.0000, 0.0000, 0.2416)
Pb (0.0000, 0.0000, 0.7584)
Pb (0.3308, 0.6692, 0.2349)
Pb (0.3308, 0.6692, 0.7651)
Pb (0.6692, 0.3308, 0.2349)
Pb (0.6692, 0.3308, 0.7651)

Principal peaks in the range 2θ from 15° to 90°, low angle first:
two_theta	I (rel.)
32.29	1000
35.96	190
36.51	193
62.35	152
63.07	150
67.57	220

=====

Theoretical X-ray powder pattern
Compound: Li4CePd2
Radiation: Cu Kα
Structure: the PBE geometry in Alexandria

Atomic structure:
Cell: 8.7574 8.7574 3.9874 Å, 90.00 90.00 154.51°
Element x y z (fractional)
Li (0.1770, 0.8230, 0.0000)
Li (0.3150, 0.6850, 0.5000)
Li (0.6850, 0.3150, 0.5000)
Li (0.8230, 0.1770, 0.0000)
Ce (0.5000, 0.5000, 0.0000)
Pd (0.0799, 0.9201, 0.5000)
Pd (0.9201, 0.0799, 0.5000)

Principal peaks in the range 2θ from 15° to 90°, low angle first:
two_theta	I (rel.)
30.68	302
32.70	1000
35.06	401
36.01	223
38.87	382
43.88	243

=====

Theoretical X-ray powder pattern
Compound: Li2CePrSi2
Radiation: Cu Kα
Structure: the PBE geometry in Alexandria

Atomic structure:
Cell: 4.4768 4.4768 7.4301 Å, 90.00 90.00 120.00°
Element x y z (fractional)
Li (0.3333, 0.6667, 0.2359)
Li (0.6667, 0.3333, 0.7641)
Ce (0.0000, 0.0000, 0.0000)
Pr (0.0000, 0.0000, 0.5000)
Si (0.3333, 0.6667, 0.7640)
Si (0.6667, 0.3333, 0.2360)

Principal peaks in the range 2θ from 15° to 90°, low angle first:
two_theta	I (rel.)
22.94	796
23.95	177
33.41	1000
40.29	365
53.30	263
68.88	242

=====

Theoretical X-ray powder pattern
Compound: LiCe3Pt8
Radiation: Cu Kα
Structure: the PBE geometry in Alexandria

Atomic structure:
Cell: 9.4332 9.4332 9.4332 Å, 33.47 33.47 33.47°
Element x y z (fractional)
Li (0.0000, 0.0000, 0.0000)
Ce (0.1246, 0.1246, 0.1246)
Ce (0.5109, 0.5109, 0.5109)
Ce (0.6384, 0.6384, 0.6384)
Pt (0.0709, 0.0709, 0.5714)
Pt (0.0709, 0.5714, 0.0709)
Pt (0.0720, 0.5693, 0.5693)
Pt (0.3209, 0.3209, 0.3209)
Pt (0.5693, 0.0720, 0.5693)
Pt (0.5693, 0.5693, 0.0720)
Pt (0.5714, 0.0709, 0.0709)
Pt (0.8207, 0.8207, 0.8207)

Principal peaks in the range 2θ from 15° to 90°, low angle first:
two_theta	I (rel.)
20.00	356
38.84	1000
40.66	477
47.28	165
62.80	248
83.39	175

=====

Theoretical X-ray powder pattern
Compound: Rb3LiCe3Se8
Radiation: Cu Kα
Structure: the PBE geometry in Alexandria

Atomic structure:
Cell: 9.3912 9.3912 9.3912 Å, 54.03 54.03 54.03°
Element x y z (fractional)
Rb (0.0000, 0.5000, 0.5000)
Rb (0.5000, 0.0000, 0.5000)
Rb (0.5000, 0.5000, 0.0000)
Li (0.5000, 0.5000, 0.5000)
Ce (0.0000, 0.0000, 0.5000)
Ce (0.0000, 0.5000, 0.0000)
Ce (0.5000, 0.0000, 0.0000)
Se (0.2182, 0.7344, 0.7344)
Se (0.2330, 0.2330, 0.2330)
Se (0.2656, 0.2656, 0.7818)
Se (0.2656, 0.7818, 0.2656)
Se (0.7344, 0.2182, 0.7344)
Se (0.7344, 0.7344, 0.2182)
Se (0.7670, 0.7670, 0.7670)
Se (0.7818, 0.2656, 0.2656)

Principal peaks in the range 2θ from 15° to 90°, low angle first:
two_theta	I (rel.)
28.38	1000
35.74	149
38.68	293
42.38	373
51.79	182
69.07	151

=====

Theoretical X-ray powder pattern
Compound: RbLiCe2Te4
Radiation: Cu Kα
Structure: the PBE geometry in Alexandria

Atomic structure:
Cell: 8.0786 8.0786 16.0496 Å, 90.00 90.00 146.64°
Element x y z (fractional)
Rb (0.1111, 0.8889, 0.7500)
Rb (0.8889, 0.1111, 0.2500)
Li (0.1631, 0.8369, 0.2500)
Li (0.8369, 0.1631, 0.7500)
Ce (0.3678, 0.6322, 0.5612)
Ce (0.3678, 0.6322, 0.9388)
Ce (0.6322, 0.3678, 0.0612)
Ce (0.6322, 0.3678, 0.4388)
Te (0.0000, 0.0000, 0.0000)
Te (0.0000, 0.0000, 0.5000)
Te (0.2640, 0.7360, 0.1094)
Te (0.2640, 0.7360, 0.3906)
Te (0.4297, 0.5703, 0.7500)
Te (0.5703, 0.4297, 0.2500)
Te (0.7360, 0.2640, 0.6094)
Te (0.7360, 0.2640, 0.8906)

Principal peaks in the range 2θ from 15° to 90°, low angle first:
two_theta	I (rel.)
25.00	570
25.83	297
26.43	861
28.16	610
34.47	347
38.81	1000

=====

Theoretical X-ray powder pattern
Compound: LiCe2Rh3
Radiation: Cu Kα
Structure: the PBE geometry in Alexandria

Atomic structure:
Cell: 7.1826 7.1826 5.4500 Å, 90.07 90.07 62.55°
Element x y z (fractional)
Li (0.0992, 0.9008, 0.7500)
Li (0.9008, 0.0992, 0.2500)
Ce (0.1619, 0.5295, 0.2503)
Ce (0.4705, 0.8381, 0.2497)
Ce (0.5295, 0.1619, 0.7503)
Ce (0.8381, 0.4705, 0.7497)
Rh (0.1755, 0.1760, 0.0004)
Rh (0.1760, 0.1755, 0.5004)
Rh (0.4512, 0.5488, 0.7500)
Rh (0.5488, 0.4512, 0.2500)
Rh (0.8240, 0.8245, 0.4996)
Rh (0.8245, 0.8240, 0.9996)

Principal peaks in the range 2θ from 15° to 90°, low angle first:
two_theta	I (rel.)
24.82	391
29.81	1000
35.84	499
41.57	343
42.55	664
43.71	345